Structure and calculated powder XRD pattern of Ca2VBiO6 (DFT lattice parameters and positions (PBE+U); Cu Kα, 1.54184 Å).
No peak broadening, texture or thermal motion is included.

Principal peaks in the range 10° ≤ 2θ ≤ 90°, sorted by position:
(hkl), two_theta, I/Imax
1 1 0, 12.2, 69
2 0 0, 19.7, 31
1 1 1, 20.0, 18
0 2 1, 21.6, 24
1 3 1, 29.0, 76
2 2 1, 29.4, 100
0 0 2, 32.0, 15
1 1 2, 34.3, 17
3 1 2, 44.9, 30
4 2 1, 45.9, 15
3 5 0, 48.3, 18
5 3 1, 58.4, 15

Crystal structure
Cell: 9.021 12.106 5.601 Å, 90.00 90.00 90.00°
Space group Cmc2_1 (No. 36)
Inequivalent atoms, fractional coordinates:
Ca  0.198  0.107  0.000 [8 per cell]
V  0.000  0.185  0.451 [4 per cell]
Bi  0.000  0.411  0.019 [4 per cell]
O  0.000  0.056  0.315 [4 per cell]
O  0.000  0.183  0.764 [4 per cell]
O  0.153  0.494  0.756 [8 per cell]
O  0.156  0.250  0.331 [8 per cell]

---

Structure and calculated powder XRD pattern of CaVBiO6 (DFT lattice parameters and positions (PBE+U); Cu Kα, 1.54184 Å).
No peak broadening, texture or thermal motion is included.

Principal peaks in the range 10° ≤ 2θ ≤ 90°, sorted by position:
(hkl), two_theta, I/Imax
0 0 1, 11.7, 58
1 0 0, 12.4, 100
1 0 1, 18.1, 77
1 1 0, 20.6, 21
1 1 -1, 22.9, 45
1 0 2, 28.1, 20
0 1 2, 28.8, 48
2 1 0, 29.9, 45
1 1 -2, 30.2, 45
2 1 -1, 31.0, 36
0 2 0, 33.1, 21
3 1 1, 44.5, 27

Crystal structure
Cell: 7.218 5.410 7.631 Å, 90.00 97.39 90.00°
Space group P2_1 (No. 4)
Inequivalent atoms, fractional coordinates:
Ca  0.194  0.000  0.419 [2 per cell]
V  0.296  0.501  0.708 [2 per cell]
Bi  0.099  0.008  0.930 [2 per cell]
O  0.090  0.221  0.168 [2 per cell]
O  0.123  0.387  0.552 [2 per cell]
O  0.138  0.745  0.147 [2 per cell]
O  0.258  0.835  0.734 [2 per cell]
O  0.295  0.308  0.895 [2 per cell]
O  0.500  0.474  0.627 [2 per cell]

---

Structure and calculated powder XRD pattern of CaBi2WO6 (DFT lattice parameters and positions (PBE+U); Cu Kα, 1.54184 Å).
No peak broadening, texture or thermal motion is included.

Principal peaks in the range 10° ≤ 2θ ≤ 90°, sorted by position:
(hkl), two_theta, I/Imax
0 1 1, 17.9, 65
0 2 0, 28.8, 45
1 1 1, 30.1, 100
1 1 -3, 30.3, 95
0 2 1, 30.8, 19
2 0 -2, 31.0, 54
1 0 2, 35.9, 21
1 0 -4, 36.2, 27
2 2 -2, 42.8, 40
1 3 -2, 48.0, 30
3 1 -1, 54.5, 29
3 1 -5, 54.9, 31

Crystal structure
Cell: 5.764 6.206 10.044 Å, 90.00 124.48 90.00°
Space group P2_1/c (No. 14)
Inequivalent atoms, fractional coordinates:
Ca  0.000  0.000  0.000 [2 per cell]
Bi  0.225  0.061  0.717 [4 per cell]
W  0.500  0.000  0.500 [2 per cell]
O  0.153  0.070  0.270 [4 per cell]
O  0.195  0.663  0.023 [4 per cell]
O  0.396  0.242  0.089 [4 per cell]